Record 1
Calculated X-ray powder pattern of LiRe3N6 for Cu Kα, from a crystal structure in the Materials Project, relaxed with GGA-PBE.

Largest 10 diffraction maxima, sorted by position, 10 to 80 degrees two-theta:
2θ/deg, d_spacing, I/Imax
20.28, 4.379, 29
20.44, 4.345, 54
21.12, 4.206, 74
27.47, 3.247, 32
27.71, 3.220, 34
32.68, 2.741, 100
33.08, 2.708, 89
37.38, 2.406, 34
41.24, 2.189, 35
42.60, 2.122, 35

Structural model:
```
data_LiRe3N6
_chemical_formula_sum 'Li2 Re6 N12'
_symmetry_space_group_name_H-M 'P 1'
_symmetry_Int_Tables_number 1
_cell_length_a 4.8416
_cell_length_b 5.0044
_cell_length_c 9.9342
_cell_angle_alpha 90.00
_cell_angle_beta 118.18
_cell_angle_gamma 90.00
loop_
_symmetry_equiv_pos_as_xyz
'x,y,z'
loop_
_atom_site_label
_atom_site_type_symbol
_atom_site_fract_x
_atom_site_fract_y
_atom_site_fract_z
Li1 Li 0.0000 0.0000 0.0000
Li2 Li 0.0000 0.5000 0.5000
Re1 Re 0.1912 0.1097 0.7502
Re2 Re 0.1912 0.3903 0.2502
Re3 Re 0.5000 0.0000 0.5000
Re4 Re 0.5000 0.5000 0.0000
Re5 Re 0.8088 0.6097 0.7498
Re6 Re 0.8088 0.8903 0.2498
N1 N 0.0844 0.1892 0.4012
N2 N 0.0844 0.3108 0.9012
N3 N 0.2039 0.6986 0.3868
N4 N 0.2039 0.8014 0.8868
N5 N 0.4848 0.1060 0.2936
N6 N 0.4848 0.3940 0.7936
N7 N 0.5152 0.6060 0.2064
N8 N 0.5152 0.8940 0.7064
N9 N 0.7961 0.1986 0.1132
N10 N 0.7961 0.3014 0.6132
N11 N 0.9156 0.6892 0.0988
N12 N 0.9156 0.8108 0.5988
```

Record 2
Calculated X-ray powder pattern of Ca2YSbO5 for Cu Kα, from a crystal structure in the Materials Project, relaxed with GGA-PBE.

Largest 10 diffraction maxima, sorted by position, 10 to 80 degrees two-theta:
2θ/deg, d_spacing, I/Imax
20.35, 4.365, 62
22.45, 3.960, 28
23.67, 3.759, 22
28.19, 3.166, 52
29.65, 3.013, 54
29.84, 2.994, 100
31.10, 2.875, 72
41.37, 2.182, 40
50.93, 1.793, 20
51.93, 1.761, 24

Structural model:
```
data_Ca2YSbO5
_chemical_formula_sum 'Ca4 Y2 Sb2 O10'
_symmetry_space_group_name_H-M 'P 1'
_symmetry_Int_Tables_number 1
_cell_length_a 8.9092
_cell_length_b 8.9092
_cell_length_c 6.0348
_cell_angle_alpha 106.79
_cell_angle_beta 106.79
_cell_angle_gamma 41.63
loop_
_symmetry_equiv_pos_as_xyz
'x,y,z'
loop_
_atom_site_label
_atom_site_type_symbol
_atom_site_fract_x
_atom_site_fract_y
_atom_site_fract_z
Ca1 Ca 0.1974 0.8026 0.5000
Ca2 Ca 0.5025 0.9766 0.7478
Ca3 Ca 0.8026 0.1974 0.0000
Ca4 Ca 0.9766 0.5025 0.2478
Y1 Y 0.1720 0.5640 0.8842
Y2 Y 0.5640 0.1720 0.3842
Sb1 Sb 0.3813 0.8917 0.0875
Sb2 Sb 0.8917 0.3813 0.5875
O1 O 0.0730 0.8458 0.8078
O2 O 0.1947 0.1970 0.4772
O3 O 0.1970 0.1947 0.9772
O4 O 0.2560 0.5069 0.2589
O5 O 0.4892 0.7314 0.7674
O6 O 0.5069 0.2560 0.7589
O7 O 0.6323 0.8781 0.1884
O8 O 0.7314 0.4892 0.2674
O9 O 0.8458 0.0730 0.3078
O10 O 0.8781 0.6323 0.6884
```

Record 3
Calculated X-ray powder pattern of Sb16Cl4O21 for Cu Kα, from a crystal structure in the Materials Project, relaxed with GGA-PBE.

Largest 10 diffraction maxima, sorted by position, 10 to 80 degrees two-theta:
2θ/deg, d_spacing, I/Imax
17.35, 5.111, 29
22.97, 3.872, 26
27.06, 3.295, 100
27.37, 3.258, 57
27.69, 3.222, 78
28.70, 3.110, 30
30.50, 2.931, 56
32.11, 2.788, 30
32.66, 2.742, 49
43.47, 2.082, 46

Structural model:
```
data_Sb16Cl4O21
_chemical_formula_sum 'Sb16 Cl4 O21'
_symmetry_space_group_name_H-M 'P 1'
_symmetry_Int_Tables_number 1
_cell_length_a 8.3343
_cell_length_b 10.0132
_cell_length_c 10.4710
_cell_angle_alpha 108.33
_cell_angle_beta 91.27
_cell_angle_gamma 102.51
loop_
_symmetry_equiv_pos_as_xyz
'x,y,z'
loop_
_atom_site_label
_atom_site_type_symbol
_atom_site_fract_x
_atom_site_fract_y
_atom_site_fract_z
Sb1 Sb 0.0000 0.0000 0.0000
Sb2 Sb 0.0485 0.8914 0.5287
Sb3 Sb 0.1396 0.3315 0.6474
Sb4 Sb 0.1443 0.3826 0.0774
Sb5 Sb 0.2292 0.8130 0.1848
Sb6 Sb 0.2812 0.7082 0.7140
Sb7 Sb 0.3471 0.1833 0.3803
Sb8 Sb 0.3901 0.5100 0.3228
Sb9 Sb 0.4798 0.8822 0.5116
Sb10 Sb 0.5405 0.9958 0.9847
Sb11 Sb 0.6376 0.3251 0.6485
Sb12 Sb 0.6449 0.3784 0.0697
Sb13 Sb 0.7353 0.7061 0.7250
Sb14 Sb 0.7963 0.8190 0.1949
Sb15 Sb 0.8467 0.1870 0.3809
Sb16 Sb 0.9144 0.5268 0.3416
Cl1 Cl 0.3242 0.0909 0.8337
Cl2 Cl 0.4384 0.6054 0.8772
Cl3 Cl 0.8389 0.0989 0.8367
Cl4 Cl 0.9584 0.6134 0.8785
O1 O 0.0360 0.9068 0.1674
O2 O 0.0869 0.1967 0.1280
O3 O 0.0990 0.1955 0.4502
O4 O 0.1925 0.5099 0.5891
O5 O 0.2407 0.7957 0.5445
O6 O 0.3004 0.9644 0.3745
O7 O 0.3641 0.9450 0.1018
O8 O 0.3758 0.2835 0.5824
O9 O 0.4149 0.4111 0.1245
O10 O 0.4733 0.7251 0.3374
O11 O 0.5097 0.7479 0.6316
O12 O 0.5993 0.1950 0.4493
O13 O 0.6044 0.1943 0.1136
O14 O 0.6768 0.5060 0.5990
O15 O 0.6802 0.5024 0.2728
O16 O 0.7684 0.9540 0.0787
O17 O 0.7896 0.9734 0.3686
O18 O 0.8768 0.2906 0.5829
O19 O 0.9091 0.7525 0.6042
O20 O 0.9142 0.4287 0.1422
O21 O 0.9753 0.7405 0.3393
```

Record 4
Calculated X-ray powder pattern of NaTi2SiO9 for Cu Kα, from a crystal structure in the Materials Project, relaxed with GGA-PBE.

Largest 10 diffraction maxima, sorted by position, 10 to 80 degrees two-theta:
2θ/deg, d_spacing, I/Imax
11.19, 7.905, 100
17.41, 5.094, 19
18.20, 4.873, 12
26.22, 3.399, 18
26.85, 3.320, 28
32.02, 2.795, 12
33.09, 2.707, 9
34.02, 2.635, 18
35.92, 2.500, 10
55.14, 1.666, 12

Structural model:
```
data_NaTi2SiO9
_chemical_formula_sum 'Na4 Ti8 Si4 O36'
_symmetry_space_group_name_H-M 'P 1'
_symmetry_Int_Tables_number 1
_cell_length_a 7.9052
_cell_length_b 7.9052
_cell_length_c 12.3786
_cell_angle_alpha 90.00
_cell_angle_beta 90.00
_cell_angle_gamma 90.00
loop_
_symmetry_equiv_pos_as_xyz
'x,y,z'
loop_
_atom_site_label
_atom_site_type_symbol
_atom_site_fract_x
_atom_site_fract_y
_atom_site_fract_z
Na1 Na 0.0000 0.5000 0.0000
Na2 Na 0.0000 0.5000 0.5000
Na3 Na 0.5000 0.0000 0.0000
Na4 Na 0.5000 0.0000 0.5000
Ti1 Ti 0.1494 0.1494 0.1472
Ti2 Ti 0.1494 0.1494 0.8528
Ti3 Ti 0.1494 0.8506 0.3528
Ti4 Ti 0.1494 0.8506 0.6472
Ti5 Ti 0.8506 0.1494 0.3528
Ti6 Ti 0.8506 0.1494 0.6472
Ti7 Ti 0.8506 0.8506 0.1472
Ti8 Ti 0.8506 0.8506 0.8528
Si1 Si 0.0000 0.5000 0.2500
Si2 Si 0.0000 0.5000 0.7500
Si3 Si 0.5000 0.0000 0.2500
Si4 Si 0.5000 0.0000 0.7500
O1 O 0.0995 0.0995 0.3318
O2 O 0.0995 0.0995 0.6682
O3 O 0.0995 0.9005 0.1682
O4 O 0.0995 0.9005 0.8318
O5 O 0.1163 0.3816 0.1706
O6 O 0.1163 0.3816 0.8294
O7 O 0.1163 0.6184 0.3294
O8 O 0.1163 0.6184 0.6706
O9 O 0.1520 0.1520 0.0000
O10 O 0.1520 0.8480 0.5000
O11 O 0.2417 0.2417 0.5000
O12 O 0.2417 0.7583 0.0000
O13 O 0.3816 0.1163 0.1706
O14 O 0.3816 0.1163 0.8294
O15 O 0.3816 0.8837 0.3294
O16 O 0.3816 0.8837 0.6706
O17 O 0.5000 0.5000 0.0496
O18 O 0.5000 0.5000 0.4504
O19 O 0.5000 0.5000 0.5496
O20 O 0.5000 0.5000 0.9504
O21 O 0.6184 0.1163 0.3294
O22 O 0.6184 0.1163 0.6706
O23 O 0.6184 0.8837 0.1706
O24 O 0.6184 0.8837 0.8294
O25 O 0.7583 0.2417 0.0000
O26 O 0.7583 0.7583 0.5000
O27 O 0.8480 0.1520 0.5000
O28 O 0.8480 0.8480 0.0000
O29 O 0.8837 0.3816 0.3294
O30 O 0.8837 0.3816 0.6706
O31 O 0.8837 0.6184 0.1706
O32 O 0.8837 0.6184 0.8294
O33 O 0.9005 0.0995 0.1682
O34 O 0.9005 0.0995 0.8318
O35 O 0.9005 0.9005 0.3318
O36 O 0.9005 0.9005 0.6682
```

Record 5
Calculated X-ray powder pattern of Ba6Lu2Ga4O15 for Cu Kα, from a crystal structure in the Materials Project, relaxed with GGA-PBE.

Largest 10 diffraction maxima, sorted by position, 10 to 80 degrees two-theta:
2θ/deg, d_spacing, I/Imax
29.00, 3.079, 47
29.90, 2.988, 51
30.31, 2.949, 95
30.82, 2.901, 100
42.14, 2.144, 43
45.37, 1.999, 21
51.88, 1.762, 15
53.34, 1.718, 16
53.66, 1.708, 18
55.29, 1.662, 15

Structural model:
```
data_Ba6Lu2Ga4O15
_chemical_formula_sum 'Ba12 Lu4 Ga8 O30'
_symmetry_space_group_name_H-M 'P 1'
_symmetry_Int_Tables_number 1
_cell_length_a 7.9990
_cell_length_b 5.9760
_cell_length_c 18.4812
_cell_angle_alpha 90.00
_cell_angle_beta 91.38
_cell_angle_gamma 90.00
loop_
_symmetry_equiv_pos_as_xyz
'x,y,z'
loop_
_atom_site_label
_atom_site_type_symbol
_atom_site_fract_x
_atom_site_fract_y
_atom_site_fract_z
Ba1 Ba 0.0000 0.1711 0.2500
Ba2 Ba 0.0000 0.8289 0.7500
Ba3 Ba 0.0024 0.2558 0.5783
Ba4 Ba 0.0024 0.7442 0.0783
Ba5 Ba 0.4735 0.2466 0.9111
Ba6 Ba 0.4735 0.7534 0.4111
Ba7 Ba 0.5000 0.2178 0.2500
Ba8 Ba 0.5000 0.7822 0.7500
Ba9 Ba 0.5265 0.2466 0.5889
Ba10 Ba 0.5265 0.7534 0.0889
Ba11 Ba 0.9976 0.2558 0.9217
Ba12 Ba 0.9976 0.7442 0.4217
Lu1 Lu 0.2524 0.2417 0.0898
Lu2 Lu 0.2524 0.7583 0.5898
Lu3 Lu 0.7476 0.2417 0.4102
Lu4 Lu 0.7476 0.7583 0.9102
Ga1 Ga 0.2529 0.2546 0.4421
Ga2 Ga 0.2529 0.7454 0.9421
Ga3 Ga 0.2701 0.2760 0.7330
Ga4 Ga 0.2701 0.7240 0.2330
Ga5 Ga 0.7299 0.2760 0.7670
Ga6 Ga 0.7299 0.7240 0.2670
Ga7 Ga 0.7471 0.2546 0.0579
Ga8 Ga 0.7471 0.7454 0.5579
O1 O 0.0307 0.2557 0.4074
O2 O 0.0307 0.7443 0.9074
O3 O 0.1872 0.1790 0.8179
O4 O 0.1872 0.8210 0.3179
O5 O 0.2313 0.4526 0.1876
O6 O 0.2313 0.5474 0.6876
O7 O 0.2493 0.0442 0.6642
O8 O 0.2493 0.9558 0.1642
O9 O 0.2624 0.4920 0.0044
O10 O 0.2624 0.5080 0.5044
O11 O 0.2635 0.0047 0.5040
O12 O 0.2635 0.9953 0.0040
O13 O 0.4576 0.2576 0.3944
O14 O 0.4576 0.7424 0.8944
O15 O 0.5000 0.2903 0.7500
O16 O 0.5000 0.7097 0.2500
O17 O 0.5424 0.2576 0.1056
O18 O 0.5424 0.7424 0.6056
O19 O 0.7365 0.0047 0.9960
O20 O 0.7365 0.9953 0.4960
O21 O 0.7376 0.4920 0.4956
O22 O 0.7376 0.5080 0.9956
O23 O 0.7507 0.0442 0.8358
O24 O 0.7507 0.9558 0.3358
O25 O 0.7687 0.4526 0.3124
O26 O 0.7687 0.5474 0.8124
O27 O 0.8128 0.1790 0.6821
O28 O 0.8128 0.8210 0.1821
O29 O 0.9693 0.2557 0.0926
O30 O 0.9693 0.7443 0.5926
```